Starting from DFT lattice parameters and positions (PBE), the PXRD pattern of Cu3Ag2 was computed for copper Kα.

Most intense lines, 10° ≤ 2θ ≤ 90°, by intensity:
d = 2.223 Å, rel. 100.0, (1 1 -3)
d = 1.976 Å, rel. 70.0, (3 1 1)
d = 2.231 Å, rel. 50.2, (2 0 4)
d = 2.213 Å, rel. 48.3, (4 0 -2)
d = 1.833 Å, rel. 24.5, (2 0 -6)
d = 1.185 Å, rel. 23.0, (2 2 4)

Cell: 9.1214 2.7953 11.3706 Å, 90.00 98.98 90.00°
Space group Cm (No. 8)
One atom of each set of equivalent atoms:
Cu1 0.0000 0.0000 0.0000 (multiplicity 2)
Cu2 0.0035 0.5000 0.5033 (multiplicity 2)
Cu3 0.0891 0.5000 0.1995 (multiplicity 2)
Cu4 0.1772 0.0000 0.3954 (multiplicity 2)
Cu5 0.1878 0.5000 0.9053 (multiplicity 2)
Cu6 0.3845 0.0000 0.8217 (multiplicity 2)
Ag1 0.0857 0.0000 0.7132 (multiplicity 2)
Ag2 0.2937 0.0000 0.0962 (multiplicity 2)
Ag3 0.2947 0.5000 0.5960 (multiplicity 2)
Ag4 0.3880 0.5000 0.3108 (multiplicity 2)

Starting from DFT lattice parameters and positions (PBE), the PXRD pattern of Cu3Ag2 was computed for copper Kα.

Most intense lines, 10° ≤ 2θ ≤ 90°, by intensity:
d = 2.191 Å, rel. 100.0, (1 1 0)
d = 2.237 Å, rel. 96.4, (0 1 5)
d = 2.015 Å, rel. 69.5, (1 0 5)
d = 1.324 Å, rel. 32.3, (1 2 5)
d = 1.757 Å, rel. 24.3, (0 2 0)
d = 1.188 Å, rel. 23.0, (2 1 5)

Cell: 2.8028 3.5145 14.5007 Å, 90.00 90.00 90.00°
Space group Pmm2 (No. 25)
One atom of each set of equivalent atoms:
Cu1 0.0000 0.0000 0.0000 (multiplicity 1)
Cu2 0.0000 0.0000 0.1710 (multiplicity 1)
Cu3 0.0000 0.0000 0.5869 (multiplicity 1)
Cu4 0.0000 0.0000 0.7941 (multiplicity 1)
Cu5 0.5000 0.5000 0.0856 (multiplicity 1)
Cu6 0.5000 0.5000 0.5037 (multiplicity 1)
Ag1 0.0000 0.0000 0.3988 (multiplicity 1)
Ag2 0.5000 0.5000 0.2751 (multiplicity 1)
Ag3 0.5000 0.5000 0.6915 (multiplicity 1)
Ag4 0.5000 0.5000 0.8964 (multiplicity 1)

Starting from DFT lattice parameters and positions (PBE), the PXRD pattern of CuAg7 was computed for copper Kα.

Most intense lines, 10° ≤ 2θ ≤ 90°, by intensity:
d = 2.366 Å, rel. 100.0, (2 2 0)
d = 2.049 Å, rel. 48.1, (0 4 0)
d = 1.448 Å, rel. 24.5, (2 4 4)
d = 1.235 Å, rel. 22.7, (2 6 0)
d = 1.237 Å, rel. 11.5, (4 2 4)
d = 1.184 Å, rel. 5.0, (4 4 0)

Cell: 5.8062 8.1865 11.5841 Å, 90.00 90.00 90.00°
Space group Fmmm (No. 69)
One atom of each set of equivalent atoms:
Cu1 0.0000 0.0000 0.0000 (multiplicity 4)
Ag1 0.0000 0.0000 0.2450 (multiplicity 8)
Ag2 0.0000 0.0000 0.5000 (multiplicity 4)
Ag3 0.2500 0.2500 0.1224 (multiplicity 16)

Starting from DFT lattice parameters and positions (PBE), the PXRD pattern of Cu3Ag7 was computed for copper Kα.

Most intense lines, 10° ≤ 2θ ≤ 90°, by intensity:
d = 2.343 Å, rel. 100.0, (3 1 1)
d = 2.023 Å, rel. 62.4, (7 1 -1)
d = 2.326 Å, rel. 49.0, (4 0 -2)
d = 2.291 Å, rel. 44.5, (10 0 0)
d = 1.996 Å, rel. 29.8, (6 0 2)
d = 1.429 Å, rel. 19.4, (1 1 -3)

Cell: 22.9856 2.8932 4.9301 Å, 90.00 94.54 90.00°
Space group Cm (No. 8)
One atom of each set of equivalent atoms:
Cu1 0.0000 0.0000 0.0000 (multiplicity 2)
Cu2 0.9995 0.5000 0.4972 (multiplicity 2)
Cu3 0.3025 0.0000 0.0997 (multiplicity 2)
Ag1 0.0943 0.5000 0.1964 (multiplicity 2)
Ag2 0.0948 0.0000 0.6973 (multiplicity 2)
Ag3 0.2005 0.0000 0.3967 (multiplicity 2)
Ag4 0.2032 0.5000 0.9035 (multiplicity 2)
Ag5 0.3032 0.5000 0.5995 (multiplicity 2)
Ag6 0.4033 0.5000 0.2961 (multiplicity 2)
Ag7 0.4060 0.0000 0.8031 (multiplicity 2)

Starting from DFT lattice parameters and positions (PBE), the PXRD pattern of Cu4Ag5 was computed for copper Kα.

Most intense lines, 10° ≤ 2θ ≤ 90°, by intensity:
d = 2.267 Å, rel. 100.0, (1 0 9)
d = 2.006 Å, rel. 37.3, (1 1 0)
d = 1.203 Å, rel. 23.5, (2 1 9)
d = 1.374 Å, rel. 14.0, (1 1 18)
d = 1.419 Å, rel. 11.3, (2 0 0)
d = 1.885 Å, rel. 10.6, (0 0 18)

Cell: 2.8375 2.8375 33.9273 Å, 90.00 90.00 90.00°
Space group I4mm (No. 107)
One atom of each set of equivalent atoms:
Cu1 0.0000 0.0000 0.0000 (multiplicity 2)
Cu2 0.0000 0.0000 0.1096 (multiplicity 2)
Cu3 0.0000 0.0000 0.2198 (multiplicity 2)
Cu4 0.0000 0.0000 0.7649 (multiplicity 2)
Ag1 0.0000 0.0000 0.3196 (multiplicity 2)
Ag2 0.0000 0.0000 0.4461 (multiplicity 2)
Ag3 0.0000 0.0000 0.5546 (multiplicity 2)
Ag4 0.0000 0.0000 0.6645 (multiplicity 2)
Ag5 0.0000 0.0000 0.8828 (multiplicity 2)

Starting from DFT lattice parameters and positions (PBE), the PXRD pattern of Cu3Ag5 was computed for copper Kα.

Most intense lines, 10° ≤ 2θ ≤ 90°, by intensity:
d = 2.294 Å, rel. 100.0, (1 1 2)
d = 2.012 Å, rel. 34.8, (2 0 0)
d = 1.209 Å, rel. 23.2, (3 1 2)
d = 1.396 Å, rel. 16.4, (2 0 4)
d = 1.937 Å, rel. 12.8, (0 0 4)
d = 1.423 Å, rel. 10.6, (2 2 0)

Cell: 4.0242 4.0242 7.7499 Å, 90.00 90.00 90.00°
Space group P4mm (No. 99)
One atom of each set of equivalent atoms:
Cu1 0.0000 0.0000 0.0000 (multiplicity 1)
Cu2 0.0000 0.5000 0.2150 (multiplicity 2)
Ag1 0.0000 0.0000 0.4532 (multiplicity 1)
Ag2 0.0000 0.5000 0.7336 (multiplicity 2)
Ag3 0.5000 0.5000 0.4540 (multiplicity 1)
Ag4 0.5000 0.5000 0.9938 (multiplicity 1)

Starting from DFT lattice parameters and positions (PBE), the PXRD pattern of Cu5Ag3 was computed for copper Kα.

Most intense lines, 10° ≤ 2θ ≤ 90°, by intensity:
d = 2.217 Å, rel. 100.0, (3 1 -2)
d = 1.943 Å, rel. 16.7, (4 0 0)
d = 1.894 Å, rel. 15.6, (0 2 0)
d = 1.922 Å, rel. 14.7, (2 0 -4)
d = 1.356 Å, rel. 9.5, (4 2 0)
d = 1.349 Å, rel. 8.5, (2 2 -4)

Cell: 8.6632 3.7882 7.6886 Å, 90.00 116.19 90.00°
Space group Cm (No. 8)
One atom of each set of equivalent atoms:
Cu1 0.0000 0.0000 0.0000 (multiplicity 2)
Cu2 0.0008 0.5000 0.2497 (multiplicity 2)
Cu3 0.0026 0.0000 0.4777 (multiplicity 2)
Cu4 0.2377 0.0000 0.3618 (multiplicity 2)
Cu5 0.2425 0.5000 0.5890 (multiplicity 2)
Ag1 0.2474 0.5000 0.1260 (multiplicity 2)
Ag2 0.2538 0.0000 0.8603 (multiplicity 2)
Ag3 0.4923 0.0000 0.7182 (multiplicity 2)

Starting from DFT lattice parameters and positions (PBE), the PXRD pattern of Cu3Ag2 was computed for copper Kα.

Most intense lines, 10° ≤ 2θ ≤ 90°, by intensity:
d = 2.225 Å, rel. 100.0, (1 1 5)
d = 1.361 Å, rel. 18.5, (2 2 0)
d = 1.931 Å, rel. 16.1, (0 2 0)
d = 1.916 Å, rel. 15.7, (2 0 0)
d = 1.935 Å, rel. 15.4, (0 0 10)
d = 1.164 Å, rel. 11.1, (1 3 5)

Cell: 3.8323 3.8618 19.3490 Å, 90.00 90.00 90.00°
Space group Amm2 (No. 38)
One atom of each set of equivalent atoms:
Cu1 0.0000 0.0000 0.0000 (multiplicity 2)
Cu2 0.0000 0.0000 0.1982 (multiplicity 2)
Cu3 0.0000 0.0000 0.3971 (multiplicity 2)
Cu4 0.0000 0.0000 0.7919 (multiplicity 2)
Cu5 0.5000 0.0000 0.1043 (multiplicity 2)
Cu6 0.5000 0.0000 0.6986 (multiplicity 2)
Ag1 0.0000 0.0000 0.6038 (multiplicity 2)
Ag2 0.5000 0.0000 0.2933 (multiplicity 2)
Ag3 0.5000 0.0000 0.4998 (multiplicity 2)
Ag4 0.5000 0.0000 0.8965 (multiplicity 2)

Starting from DFT lattice parameters and positions (PBE), the PXRD pattern of Cu3Ag2 was computed for copper Kα.

Most intense lines, 10° ≤ 2θ ≤ 90°, by intensity:
d = 2.219 Å, rel. 100.0, (1 0 5)
d = 1.988 Å, rel. 42.6, (1 1 0)
d = 1.188 Å, rel. 23.8, (2 1 5)
d = 2.387 Å, rel. 14.1, (1 0 4)
d = 1.406 Å, rel. 12.8, (2 0 0)
d = 1.337 Å, rel. 9.9, (1 1 10)

Cell: 2.8115 2.8115 18.0748 Å, 90.00 90.00 90.00°
Space group P4mm (No. 99)
One atom of each set of equivalent atoms:
Cu1 0.0000 0.0000 0.0000 (multiplicity 1)
Cu2 0.0000 0.0000 0.1707 (multiplicity 1)
Cu3 0.0000 0.0000 0.5844 (multiplicity 1)
Cu4 0.0000 0.0000 0.7914 (multiplicity 1)
Cu5 0.5000 0.5000 0.0855 (multiplicity 1)
Cu6 0.5000 0.5000 0.2561 (multiplicity 1)
Ag1 0.0000 0.0000 0.3602 (multiplicity 1)
Ag2 0.5000 0.5000 0.4815 (multiplicity 1)
Ag3 0.5000 0.5000 0.6879 (multiplicity 1)
Ag4 0.5000 0.5000 0.8953 (multiplicity 1)

Starting from DFT lattice parameters and positions (PBE), the PXRD pattern of Cu3Ag7 was computed for copper Kα.

Most intense lines, 10° ≤ 2θ ≤ 90°, by intensity:
d = 2.313 Å, rel. 100.0, (1 0 5)
d = 2.050 Å, rel. 39.5, (1 1 0)
d = 1.228 Å, rel. 23.9, (2 1 5)
d = 1.401 Å, rel. 13.0, (1 1 10)
d = 1.450 Å, rel. 12.1, (2 0 0)
d = 1.919 Å, rel. 9.0, (0 0 10)

Cell: 2.8993 2.8993 19.1861 Å, 90.00 90.00 90.00°
Space group P4mm (No. 99)
One atom of each set of equivalent atoms:
Cu1 0.0000 0.0000 0.0000 (multiplicity 1)
Cu2 0.0000 0.0000 0.4079 (multiplicity 1)
Cu3 0.5000 0.5000 0.4822 (multiplicity 1)
Ag1 0.0000 0.0000 0.2040 (multiplicity 1)
Ag2 0.0000 0.0000 0.5757 (multiplicity 1)
Ag3 0.0000 0.0000 0.7959 (multiplicity 1)
Ag4 0.5000 0.5000 0.0937 (multiplicity 1)
Ag5 0.5000 0.5000 0.3143 (multiplicity 1)
Ag6 0.5000 0.5000 0.6861 (multiplicity 1)
Ag7 0.5000 0.5000 0.9065 (multiplicity 1)

Starting from DFT lattice parameters and positions (PBE), the PXRD pattern of Cu4Ag5 was computed for copper Kα.

Most intense lines, 10° ≤ 2θ ≤ 90°, by intensity:
d = 2.292 Å, rel. 100.0, (3 1 0)
d = 1.984 Å, rel. 63.1, (3 1 -3)
d = 2.274 Å, rel. 48.7, (0 0 3)
d = 2.250 Å, rel. 46.2, (6 0 -3)
d = 1.949 Å, rel. 29.6, (6 0 0)
d = 1.396 Å, rel. 18.8, (3 1 3)

Cell: 14.2839 2.8342 8.3336 Å, 90.00 125.05 90.00°
Space group C2/m (No. 12)
One atom of each set of equivalent atoms:
Cu1 0.0037 0.0000 0.1727 (multiplicity 4)
Cu2 0.1675 0.5000 0.4934 (multiplicity 4)
Ag1 0.0000 0.0000 0.5000 (multiplicity 2)
Ag2 0.1615 0.5000 0.1718 (multiplicity 4)
Ag3 0.1635 0.5000 0.8323 (multiplicity 4)

Starting from DFT lattice parameters and positions (PBE), the PXRD pattern of CuAg7 was computed for copper Kα.

Most intense lines, 10° ≤ 2θ ≤ 90°, by intensity:
d = 2.367 Å, rel. 100.0, (3 -1 1)
d = 2.047 Å, rel. 31.9, (2 -4 2)
d = 1.235 Å, rel. 22.5, (5 -5 3)
d = 1.451 Å, rel. 19.5, (3 -3 5)
d = 2.057 Å, rel. 16.1, (1 1 3)
d = 1.239 Å, rel. 11.3, (4 0 4)

Cell: 7.6641 8.6872 9.6181 Å, 113.53 96.43 104.60°
Space group P1 (No. 1)
One atom of each set of equivalent atoms:
Cu1 0.0000 0.0000 0.0000 (multiplicity 1)
Cu2 0.0611 0.8825 0.7061 (multiplicity 1)
Cu3 0.2957 0.8815 0.9422 (multiplicity 1)
Cu4 0.8713 0.2576 0.6332 (multiplicity 1)
Ag1 0.0551 0.3726 0.1911 (multiplicity 1)
Ag2 0.1144 0.2457 0.8788 (multiplicity 1)
Ag3 0.1185 0.7570 0.3886 (multiplicity 1)
Ag4 0.1785 0.1295 0.5732 (multiplicity 1)
Ag5 0.1810 0.6310 0.0695 (multiplicity 1)
Ag6 0.2393 0.0022 0.2506 (multiplicity 1)
Ag7 0.2393 0.5043 0.7599 (multiplicity 1)
Ag8 0.3090 0.3809 0.4473 (multiplicity 1)
Ag9 0.3634 0.2439 0.1282 (multiplicity 1)
Ag10 0.3633 0.7581 0.6401 (multiplicity 1)
Ag11 0.4259 0.1218 0.8199 (multiplicity 1)
Ag12 0.4312 0.6300 0.3216 (multiplicity 1)
Ag13 0.4922 0.5005 0.0063 (multiplicity 1)
Ag14 0.5001 0.0087 0.5106 (multiplicity 1)
Ag15 0.5502 0.8790 0.1911 (multiplicity 1)
Ag16 0.5632 0.3810 0.6956 (multiplicity 1)
Ag17 0.6167 0.7577 0.8837 (multiplicity 1)
Ag18 0.6233 0.2551 0.3855 (multiplicity 1)
Ag19 0.6814 0.1243 0.0660 (multiplicity 1)
Ag20 0.6872 0.6359 0.5721 (multiplicity 1)
Ag21 0.7439 0.5028 0.2549 (multiplicity 1)
Ag22 0.7537 0.0052 0.7585 (multiplicity 1)
Ag23 0.8084 0.3783 0.9378 (multiplicity 1)
Ag24 0.8113 0.8861 0.4501 (multiplicity 1)
Ag25 0.8679 0.7581 0.1305 (multiplicity 1)
Ag26 0.9317 0.1299 0.3199 (multiplicity 1)
Ag27 0.9399 0.6435 0.8225 (multiplicity 1)
Ag28 0.9933 0.5054 0.5113 (multiplicity 1)

> Number 7 is which compound?

Cu5Ag3